Starting from a cell relaxed with GGA-PBE, the powder X-ray diffraction pattern of Sr2Sn3Au9 was simulated for Cu Kα X-rays.
No peak broadening, texture or thermal motion is included.

Structural model:
```
Sr2Sn3Au9
1.0
7.4186 -4.1080 0.0000
7.4186 4.1080 0.0000
-4.9432 0.0000 10.2772
Sr Sn Au
4 6 18
direct
0.0864 0.2485 0.2452
0.2485 0.0864 0.7452
0.7515 0.9136 0.2548
0.9136 0.7515 0.7548
0.0000 0.5000 0.0000
0.1279 0.7047 0.5084
0.2953 0.8721 0.9916
0.5000 0.0000 0.5000
0.7047 0.1279 0.0084
0.8721 0.2953 0.4916
0.0613 0.8347 0.1035
0.1653 0.9387 0.3965
0.1929 0.3746 0.5752
0.2200 0.5519 0.2617
0.3065 0.4836 0.9323
0.3699 0.6301 0.7500
0.3746 0.1929 0.0752
0.4481 0.7800 0.2383
0.4836 0.3065 0.4323
0.5164 0.6935 0.5677
0.5519 0.2200 0.7617
0.6254 0.8071 0.9248
0.6301 0.3699 0.2500
0.6935 0.5164 0.0677
0.7800 0.4481 0.7383
0.8071 0.6254 0.4248
0.8347 0.0613 0.6035
0.9387 0.1653 0.8965
```

Top 6 peaks for 2θ = 10–90°, sorted by position:
33.64°, rel. 100
34.08°, rel. 76
36.34°, rel. 63
37.54°, rel. 66
41.09°, rel. 41
41.59°, rel. 32

=====

Starting from a cell relaxed with GGA-PBE, the powder X-ray diffraction pattern of HoPt10Pb was simulated for Cu Kα X-rays.
No peak broadening, texture or thermal motion is included.

Structural model:
```
HoPt10Pb
1.0
4.4530 0.0000 0.0000
0.0000 5.4056 0.0000
0.0000 0.0000 9.2817
Ho Pt Pb
1 10 1
direct
0.0000 0.0000 0.0000
0.0000 0.0000 0.3312
0.0000 0.0000 0.6688
0.0000 0.5000 0.1647
0.0000 0.5000 0.8353
0.5000 0.0000 0.5000
0.5000 0.2462 0.2439
0.5000 0.2462 0.7561
0.5000 0.5000 0.0000
0.5000 0.7538 0.2439
0.5000 0.7538 0.7561
0.0000 0.5000 0.5000
```

Top 6 peaks for 2θ = 10–90°, sorted by position:
38.55°, rel. 29
38.98°, rel. 51
39.18°, rel. 100
40.52°, rel. 52
43.77°, rel. 43
84.21°, rel. 26

=====

Starting from a cell relaxed with GGA-PBE, the powder X-ray diffraction pattern of Li2Mg5Hg12 was simulated for Cu Kα X-rays.
No peak broadening, texture or thermal motion is included.

Structural model:
```
Li2Mg5Hg12
1.0
7.1950 -4.5547 0.0000
7.1950 4.5547 0.0000
-0.5131 0.0000 6.5377
Li Mg Hg
2 5 12
direct
0.2462 0.7538 0.0000
0.7538 0.2462 0.0000
0.0000 0.0000 0.5000
0.2472 0.2472 0.5476
0.3241 0.3241 0.0707
0.6759 0.6759 0.9293
0.7528 0.7528 0.4524
0.0363 0.5872 0.7916
0.1092 0.1092 0.9029
0.1717 0.6211 0.3813
0.3789 0.8283 0.6187
0.4128 0.9637 0.2084
0.4569 0.4569 0.7554
0.5431 0.5431 0.2446
0.5872 0.0363 0.7916
0.6211 0.1717 0.3813
0.8283 0.3789 0.6187
0.8908 0.8908 0.0971
0.9637 0.4128 0.2084
```

Top 6 peaks for 2θ = 10–90°, sorted by position:
23.13°, rel. 28
35.28°, rel. 100
35.46°, rel. 93
39.09°, rel. 30
39.57°, rel. 37
44.38°, rel. 24

=====

Starting from a cell relaxed with GGA-PBE, the powder X-ray diffraction pattern of Rb3LiAg2F9 was simulated for Cu Kα X-rays.
No peak broadening, texture or thermal motion is included.

Structural model:
```
Rb3LiAg2F9
1.0
6.0815 0.0000 0.0000
-3.0408 5.2667 0.0000
0.0000 0.0000 7.4678
Rb Li Ag F
3 1 2 9
direct
0.0000 0.0000 0.0000
0.3333 0.6667 0.6507
0.6667 0.3333 0.3493
0.0000 0.0000 0.5000
0.3333 0.6667 0.1713
0.6667 0.3333 0.8287
0.0000 0.5000 0.0000
0.1633 0.3265 0.3318
0.1633 0.8367 0.3318
0.3265 0.1633 0.6682
0.5000 0.0000 0.0000
0.5000 0.5000 0.0000
0.6735 0.8367 0.3318
0.8367 0.1633 0.6682
0.8367 0.6735 0.6682
```

Top 6 peaks for 2θ = 10–90°, sorted by position:
29.35°, rel. 100
41.98°, rel. 43
52.03°, rel. 30
60.82°, rel. 12
60.94°, rel. 13
69.00°, rel. 17

=====

Starting from a cell relaxed with GGA-PBE, the powder X-ray diffraction pattern of Sm3Ga2Ni was simulated for Cu Kα X-rays.
No peak broadening, texture or thermal motion is included.

Structural model:
```
Sm3Ga2Ni
1.0
11.9398 0.0000 0.0000
0.0000 4.2876 0.0000
0.0000 0.0000 11.3734
Sm Ga Ni
12 8 4
direct
0.0482 0.2500 0.1272
0.1176 0.7500 0.5561
0.2300 0.2500 0.7969
0.2700 0.7500 0.2969
0.3824 0.2500 0.0561
0.4518 0.7500 0.6272
0.5482 0.2500 0.3728
0.6176 0.7500 0.9439
0.7300 0.2500 0.7031
0.7700 0.7500 0.2031
0.8824 0.2500 0.4439
0.9518 0.7500 0.8728
0.0160 0.7500 0.3103
0.1952 0.7500 0.9997
0.3048 0.2500 0.4997
0.4840 0.2500 0.8103
0.5160 0.7500 0.1897
0.6952 0.7500 0.5003
0.8048 0.2500 0.0003
0.9840 0.2500 0.6897
0.1242 0.2500 0.3758
0.3758 0.7500 0.8758
0.6242 0.2500 0.1242
0.8758 0.7500 0.6242
```

Top 6 peaks for 2θ = 10–90°, sorted by position:
26.77°, rel. 50
31.50°, rel. 100
32.38°, rel. 55
34.56°, rel. 71
37.56°, rel. 46
42.15°, rel. 59

=====

Starting from a cell relaxed with GGA-PBE, the powder X-ray diffraction pattern of P4Br was simulated for Cu Kα X-rays.
No peak broadening, texture or thermal motion is included.

Structural model:
```
P4Br
1.0
4.1344 0.0000 0.0000
0.0000 4.1344 0.0000
0.0000 0.0000 11.3126
P Br
8 2
direct
0.0000 0.0000 0.1495
0.0000 0.0000 0.8505
0.0000 0.5000 0.2500
0.0000 0.5000 0.7500
0.5000 0.0000 0.2500
0.5000 0.0000 0.7500
0.5000 0.5000 0.3505
0.5000 0.5000 0.6495
0.0000 0.0000 0.5000
0.5000 0.5000 0.0000
```

Top 6 peaks for 2θ = 10–90°, sorted by position:
22.90°, rel. 23
32.13°, rel. 100
34.54°, rel. 64
43.79°, rel. 43
55.34°, rel. 39
58.23°, rel. 31

=====

Starting from a cell relaxed with GGA-PBE, the powder X-ray diffraction pattern of Cs2CdSi2O6 was simulated for Cu Kα X-rays.
No peak broadening, texture or thermal motion is included.

Structural model:
```
Cs2CdSi2O6
1.0
3.0159 1.7412 6.5324
-3.0159 1.7412 6.5324
0.0000 -3.4824 6.5324
Cs Cd Si O
2 1 2 6
direct
0.2086 0.2086 0.2086
0.7914 0.7914 0.7914
0.0000 0.0000 0.0000
0.4016 0.4016 0.4016
0.5984 0.5984 0.5984
0.2526 0.2526 0.7086
0.2526 0.7086 0.2526
0.2914 0.7474 0.7474
0.7086 0.2526 0.2526
0.7474 0.2914 0.7474
0.7474 0.7474 0.2914
```

Top 6 peaks for 2θ = 10–90°, sorted by position:
17.57°, rel. 23
28.47°, rel. 100
29.62°, rel. 72
41.54°, rel. 29
51.83°, rel. 45
69.11°, rel. 20

=====

Starting from a cell relaxed with GGA-PBE, the powder X-ray diffraction pattern of Ba3Li2Pm2Tl4 was simulated for Cu Kα X-rays.
No peak broadening, texture or thermal motion is included.

Structural model:
```
Ba3Li2Pm2Tl4
1.0
5.4572 0.0000 0.0000
-2.7286 4.7261 0.0000
0.0000 0.0000 15.2818
Ba Li Pm Tl
3 2 2 4
direct
0.0000 0.0000 0.0000
0.0000 0.0000 0.2592
0.0000 0.0000 0.7408
0.3333 0.6667 0.1505
0.6667 0.3333 0.8495
0.3333 0.6667 0.5711
0.6667 0.3333 0.4289
0.3333 0.6667 0.3663
0.3333 0.6667 0.8588
0.6667 0.3333 0.1412
0.6667 0.3333 0.6337
```

Top 6 peaks for 2θ = 10–90°, sorted by position:
22.12°, rel. 59
30.08°, rel. 95
32.82°, rel. 100
40.22°, rel. 28
45.11°, rel. 31
56.90°, rel. 32

=====

Starting from a cell relaxed with GGA-PBE, the powder X-ray diffraction pattern of Er5B2Te was simulated for Cu Kα X-rays.
No peak broadening, texture or thermal motion is included.

Structural model:
```
Er5B2Te
1.0
-3.5273 3.5273 7.0429
3.5273 -3.5273 7.0429
3.5273 3.5273 -7.0429
Er B Te
10 4 2
direct
0.0000 0.0000 0.0000
0.0333 0.5333 0.8288
0.2046 0.0333 0.5000
0.2954 0.7954 0.8288
0.4667 0.2954 0.5000
0.5000 0.5000 0.0000
0.5333 0.7046 0.5000
0.7046 0.2046 0.1712
0.7954 0.9667 0.5000
0.9667 0.4667 0.1712
0.0955 0.4045 0.5000
0.4045 0.9045 0.3090
0.5955 0.0955 0.6910
0.9045 0.5955 0.5000
0.2500 0.2500 0.0000
0.7500 0.7500 0.0000
```

Top 6 peaks for 2θ = 10–90°, sorted by position:
29.00°, rel. 83
31.09°, rel. 64
34.24°, rel. 79
36.03°, rel. 100
40.43°, rel. 62
61.69°, rel. 40

=====

Starting from a cell relaxed with GGA-PBE, the powder X-ray diffraction pattern of Ac2ZnGeO6 was simulated for Cu Kα X-rays.
No peak broadening, texture or thermal motion is included.

Structural model:
```
Ac2ZnGeO6
1.0
5.6628 0.0000 0.0000
0.0000 5.6628 0.0000
0.0000 0.0000 3.9834
Ac Zn Ge O
2 1 1 6
direct
0.0000 0.5000 0.0000
0.5000 0.0000 0.0000
0.0000 0.0000 0.5000
0.5000 0.5000 0.5000
0.0000 0.0000 0.0000
0.2656 0.2656 0.5000
0.2656 0.7344 0.5000
0.5000 0.5000 0.0000
0.7344 0.2656 0.5000
0.7344 0.7344 0.5000
```

Top 6 peaks for 2θ = 10–90°, sorted by position:
22.20°, rel. 17
31.66°, rel. 100
39.03°, rel. 19
45.29°, rel. 19
56.33°, rel. 27
56.49°, rel. 13